(1)
LiSiNiO4: simulated X-ray diffraction stick pattern (Cu Kα (λ = 1.5418 Å)), based on DFT lattice parameters and positions (PBE+U).
Intensities are scaled so that the largest is 100.

Top 10 peaks for 2θ from 5° to 70°, low angle first:
- 2θ = 18.8°, d = 4.711 Å, I = 47, (0 1 1)
- 2θ = 19.5°, d = 4.546 Å, I = 100, (1 0 1)
- 2θ = 21.2°, d = 4.186 Å, I = 10, (0 0 2)
- 2θ = 36.2°, d = 2.481 Å, I = 25, (1 0 3)
- 2θ = 37.2°, d = 2.414 Å, I = 38, (1 2 1)
- 2θ = 43.2°, d = 2.093 Å, I = 29, (0 0 4)
- 2θ = 46.3°, d = 1.962 Å, I = 49, (2 2 0)
- 2θ = 48.7°, d = 1.871 Å, I = 14, (1 2 3)
- 2θ = 61.9°, d = 1.500 Å, I = 11, (3 2 1)
- 2θ = 65.2°, d = 1.432 Å, I = 31, (2 2 4)

Cell and atoms:
```
data_LiSiNiO4
_chemical_formula_sum 'Li4 Si4 Ni4 O16'
_cell_length_a 5.4129
_cell_length_b 5.6984
_cell_length_c 8.3727
_cell_angle_alpha 90.00
_cell_angle_beta 90.00
_cell_angle_gamma 90.00
_symmetry_space_group_name_H-M 'I m m a'
_symmetry_Int_Tables_number 74
_symmetry_space_group_name_Hall '-I 2b 2'
loop_
_atom_site_label
_atom_site_fract_x
_atom_site_fract_y
_atom_site_fract_z
Li1 0.0000 0.2500 0.1230
Si1 0.2500 0.2500 0.7500
Ni1 0.0000 0.0000 0.5000
O1 0.0000 0.0391 0.7512
O2 0.2329 0.2500 0.5319
```

=====

(2)
Li3SiNiO5: simulated X-ray diffraction stick pattern (Cu Kα (λ = 1.5418 Å)), based on DFT lattice parameters and positions (PBE+U).
Intensities are scaled so that the largest is 100.

Top 10 peaks for 2θ from 5° to 70°, low angle first:
- 2θ = 11.2°, d = 7.874 Å, I = 71, (0 2 0)
- 2θ = 18.9°, d = 4.684 Å, I = 45, (0 1 1)
- 2θ = 19.9°, d = 4.454 Å, I = 100, (1 2 0)
- 2θ = 24.8°, d = 3.584 Å, I = 80, (0 3 1)
- 2θ = 29.9°, d = 2.987 Å, I = 29, (1 3 1)
- 2θ = 32.9°, d = 2.721 Å, I = 58, (1 5 0)
- 2θ = 33.2°, d = 2.701 Å, I = 38, (2 0 0)
- 2θ = 36.6°, d = 2.453 Å, I = 55, (0 0 2)
- 2θ = 37.8°, d = 2.379 Å, I = 41, (1 5 1)
- 2θ = 59.1°, d = 1.563 Å, I = 40, (3 5 0)

Cell and atoms:
```
data_Li3SiNiO5
_chemical_formula_sum 'Li12 Si4 Ni4 O20'
_cell_length_a 5.4016
_cell_length_b 15.7485
_cell_length_c 4.9062
_cell_angle_alpha 90.00
_cell_angle_beta 90.00
_cell_angle_gamma 90.00
_symmetry_space_group_name_H-M 'P n a 21'
_symmetry_Int_Tables_number 33
loop_
_symmetry_equiv_pos_as_xyz
'x,y,z'
'-x,-y,z+1/2'
'-x+1/2,y+1/2,z+1/2'
'x+1/2,-y+1/2,z'
loop_
_atom_site_label
_atom_site_fract_x
_atom_site_fract_y
_atom_site_fract_z
Li1 0.1619 0.0046 0.0000
Li2 0.1682 0.1973 0.0087
Li3 0.1705 0.5941 0.9981
Si1 0.1612 0.4021 0.0059
Ni1 0.1817 0.8001 0.0002
O1 0.1259 0.6020 0.5991
O2 0.1504 0.2038 0.5994
O3 0.1793 0.3953 0.6637
O4 0.1896 0.9857 0.6019
O5 0.1919 0.8136 0.6173
```

=====

(3)
Li4Si2NiO7: simulated X-ray diffraction stick pattern (Cu Kα (λ = 1.5418 Å)), based on DFT lattice parameters and positions (PBE+U).
Intensities are scaled so that the largest is 100.

Top 10 peaks for 2θ from 5° to 70°, low angle first:
- 2θ = 13.3°, d = 6.675 Å, I = 22, (2 0 -2)
- 2θ = 18.7°, d = 4.742 Å, I = 60, (2 0 2)
- 2θ = 24.8°, d = 3.594 Å, I = 100, (4 0 0)
- 2θ = 26.5°, d = 3.369 Å, I = 11, (3 1 -1)
- 2θ = 33.4°, d = 2.681 Å, I = 18, (3 1 -5)
- 2θ = 35.4°, d = 2.538 Å, I = 69, (1 1 5)
- 2θ = 36.0°, d = 2.493 Å, I = 72, (5 1 -3)
- 2θ = 59.2°, d = 1.561 Å, I = 22, (4 2 -8)
- 2θ = 59.8°, d = 1.546 Å, I = 21, (6 2 2)
- 2θ = 62.1°, d = 1.495 Å, I = 11, (10 0 -6)

Cell and atoms:
```
data_Li4Si2NiO7
_chemical_formula_sum 'Li32 Si16 Ni8 O56'
_cell_length_a 15.2119
_cell_length_b 4.5129
_cell_length_c 17.9238
_cell_angle_alpha 90.00
_cell_angle_beta 109.49
_cell_angle_gamma 90.00
_symmetry_space_group_name_H-M 'C 1 2 1'
_symmetry_Int_Tables_number 5
loop_
_symmetry_equiv_pos_as_xyz
'x,y,z'
'-x,y,-z'
'x+1/2,y+1/2,z'
'-x+1/2,y+1/2,-z'
loop_
_atom_site_label
_atom_site_fract_x
_atom_site_fract_y
_atom_site_fract_z
Li1 0.0171 0.0000 0.1930
Li2 0.0184 0.4946 0.6959
Li3 0.0578 0.4938 0.0909
Li4 0.0587 0.9807 0.5883
Li5 0.1914 0.4840 0.6591
Li6 0.1918 0.9909 0.1619
Li7 0.2313 0.5041 0.0566
Li8 0.2327 0.9903 0.5546
Si1 0.0904 0.0227 0.9851
Si2 0.0902 0.5042 0.4841
Si3 0.1587 0.0100 0.7647
Si4 0.1608 0.5169 0.2662
Ni1 0.1188 0.0000 0.3720
Ni2 0.1313 0.5064 0.8782
O1 0.0000 0.3120 0.5000
O2 0.0000 0.8310 0.0000
O3 0.0417 0.7111 0.4055
O4 0.0443 0.2307 0.9062
O5 0.0873 0.7683 0.7831
O6 0.0875 0.2750 0.2808
O7 0.1065 0.2026 0.6862
O8 0.1099 0.7134 0.1879
O9 0.1414 0.7011 0.5620
O10 0.1419 0.2152 0.0640
O11 0.1619 0.2619 0.4668
O12 0.1635 0.7817 0.9696
O13 0.2072 0.2192 0.8430
O14 0.2071 0.7229 0.3454
O15 0.2491 0.8215 0.7490
```

=====

(4)
Li2Si2NiO6: simulated X-ray diffraction stick pattern (Cu Kα (λ = 1.5418 Å)), based on DFT lattice parameters and positions (PBE+U).
Intensities are scaled so that the largest is 100.

Top 10 peaks for 2θ from 5° to 70°, low angle first:
- 2θ = 17.9°, d = 4.958 Å, I = 38, (0 1 0)
- 2θ = 18.9°, d = 4.699 Å, I = 82, (0 0 4)
- 2θ = 20.5°, d = 4.340 Å, I = 100, (0 1 2)
- 2θ = 25.8°, d = 3.455 Å, I = 72, (1 0 -4)
- 2θ = 26.5°, d = 3.368 Å, I = 58, (1 0 4)
- 2θ = 26.6°, d = 3.345 Å, I = 50, (-1 1 4)
- 2θ = 32.1°, d = 2.786 Å, I = 29, (2 -1 0)
- 2θ = 33.4°, d = 2.681 Å, I = 75, (1 -2 2)
- 2θ = 36.2°, d = 2.479 Å, I = 28, (0 2 0)
- 2θ = 41.6°, d = 2.170 Å, I = 49, (0 2 4)

Cell and atoms:
```
data_Li2Si2NiO6
_chemical_formula_sum 'Li8 Si8 Ni4 O24'
_cell_length_a 5.5750
_cell_length_b 5.5834
_cell_length_c 18.8030
_cell_angle_alpha 91.00
_cell_angle_beta 90.79
_cell_angle_gamma 117.25
_symmetry_space_group_name_H-M 'P 1'
_symmetry_Int_Tables_number 1
loop_
_symmetry_equiv_pos_as_xyz
'x,y,z'
loop_
_atom_site_label
_atom_site_fract_x
_atom_site_fract_y
_atom_site_fract_z
Li1 0.0000 0.0000 0.0000
Li2 0.0003 0.0002 0.4994
Li3 0.2082 0.5211 0.1180
Li4 0.2077 0.5249 0.6177
Li5 0.3431 0.6587 0.7487
Li6 0.3437 0.6561 0.2501
Li7 0.8654 0.8632 0.8685
Li8 0.8676 0.8655 0.3679
Si1 0.4052 0.1231 0.6246
Si2 0.4070 0.1198 0.1250
Si3 0.4638 0.0617 0.3751
Si4 0.4653 0.0637 0.8746
Si5 0.7432 0.4540 0.2427
Si6 0.7429 0.4577 0.7422
Si7 0.7995 0.3994 0.9925
Si8 0.7991 0.4007 0.4921
Ni1 0.3460 0.5158 0.9333
Ni2 0.3523 0.5200 0.4354
Ni3 0.8619 0.0045 0.1848
Ni4 0.8623 0.0090 0.6853
O1 0.0905 0.0280 0.6030
O2 0.0933 0.0274 0.1027
O3 0.1107 0.4930 0.5158
O4 0.1126 0.4904 0.0151
O5 0.2310 0.1257 0.9086
O6 0.2325 0.1302 0.4083
O7 0.3686 0.7473 0.3535
O8 0.3716 0.7507 0.8517
O9 0.4712 0.8869 0.1586
O10 0.4729 0.8914 0.6575
O11 0.4851 0.3756 0.6843
O12 0.4873 0.3735 0.1843
O13 0.5956 0.2681 0.5576
O14 0.6015 0.2605 0.0585
O15 0.6064 0.2519 0.3080
O16 0.6075 0.2581 0.8081
O17 0.7172 0.1419 0.4345
O18 0.7195 0.1447 0.9335
O19 0.7378 0.6332 0.9584
O20 0.7446 0.6360 0.4563
O21 0.8337 0.7659 0.2659
O22 0.8358 0.7695 0.7656
O23 0.9782 0.4009 0.7067
O24 0.9788 0.3963 0.2077
```

=====

(5)
Li2Si2NiO6: simulated X-ray diffraction stick pattern (Cu Kα (λ = 1.5418 Å)), based on DFT lattice parameters and positions (PBE+U).
Intensities are scaled so that the largest is 100.

Top 10 peaks for 2θ from 5° to 70°, low angle first:
- 2θ = 9.2°, d = 9.593 Å, I = 38, (0 0 1)
- 2θ = 16.4°, d = 5.398 Å, I = 16, (1 0 0)
- 2θ = 19.2°, d = 4.632 Å, I = 15, (1 0 1)
- 2θ = 21.0°, d = 4.240 Å, I = 19, (0 1 1)
- 2θ = 24.4°, d = 3.652 Å, I = 20, (1 0 -2)
- 2θ = 25.0°, d = 3.556 Å, I = 15, (1 1 0)
- 2θ = 26.5°, d = 3.367 Å, I = 18, (0 1 2)
- 2θ = 27.0°, d = 3.308 Å, I = 100, (1 1 1)
- 2θ = 33.8°, d = 2.648 Å, I = 16, (0 1 3)
- 2θ = 37.4°, d = 2.407 Å, I = 23, (1 1 -3)

Cell and atoms:
```
data_Li2Si2NiO6
_chemical_formula_sum 'Li4 Si4 Ni2 O12'
_cell_length_a 5.4013
_cell_length_b 4.7268
_cell_length_c 9.5992
_cell_angle_alpha 90.00
_cell_angle_beta 92.10
_cell_angle_gamma 90.00
_symmetry_space_group_name_H-M 'P 1 21 1'
_symmetry_Int_Tables_number 4
loop_
_symmetry_equiv_pos_as_xyz
'x,y,z'
'-x,y+1/2,-z'
loop_
_atom_site_label
_atom_site_fract_x
_atom_site_fract_y
_atom_site_fract_z
Li1 0.1595 0.0000 0.0232
Li2 0.3261 0.4844 0.1766
Si1 0.1453 0.0226 0.6814
Si2 0.3136 0.5176 0.8460
Ni1 0.3718 0.9074 0.3873
O1 0.1387 0.6132 0.3342
O2 0.1536 0.6782 0.7168
O3 0.2033 0.5966 0.9940
O4 0.2756 0.1657 0.8279
O5 0.3411 0.1100 0.5624
O6 0.3957 0.0754 0.1842
```